(1)
# Ba6Sr7
Computed powder X-ray diffraction pattern, Cu Kα. Input: DFT lattice parameters and positions (GGA-PBE).
Lines closer than 0.1° are merged.

Crystal structure
```
data_Ba6Sr7
_cell_length_a 15.1343
_cell_length_b 15.1343
_cell_length_c 15.1343
_cell_angle_alpha 30.64
_cell_angle_beta 30.64
_cell_angle_gamma 30.64
_symmetry_space_group_name_H-M 'P 1'
_symmetry_Int_Tables_number 1
loop_
_symmetry_equiv_pos_as_xyz
'x,y,z'
loop_
_atom_site_label
_atom_site_fract_x
_atom_site_fract_y
_atom_site_fract_z
_atom_site_occupancy
Ba1 0.0470 0.0470 0.0470 1
Ba2 0.1500 0.1500 0.1500 1
Ba3 0.3335 0.3335 0.3335 1
Ba4 0.6665 0.6665 0.6665 1
Ba5 0.8500 0.8500 0.8500 1
Ba6 0.9530 0.9530 0.9530 1
Sr1 0.0878 0.5904 0.5904 1
Sr2 0.4096 0.4096 0.9122 1
Sr3 0.4096 0.9122 0.4096 1
Sr4 0.5000 0.5000 0.5000 1
Sr5 0.5904 0.0878 0.5904 1
Sr6 0.5904 0.5904 0.0878 1
Sr7 0.9122 0.4096 0.4096 1
```

The 8 most intense peaks (2θ from 5° to 70°), sorted by position:
| d (Å) | I (rel.) |
| --- | --- |
| 3.999 | 73 |
| 3.668 | 61 |
| 3.497 | 100 |
| 3.452 | 42 |
| 3.419 | 77 |
| 3.215 | 42 |
| 2.179 | 38 |
| 2.000 | 44 |


(2)
# Dy5Zn2Cd
Computed powder X-ray diffraction pattern, Cu Kα. Input: DFT lattice parameters and positions (GGA-PBE).
Lines closer than 0.1° are merged.

Crystal structure
```
data_Dy5Zn2Cd
_cell_length_a 8.4990
_cell_length_b 8.4990
_cell_length_c 8.4990
_cell_angle_alpha 122.33
_cell_angle_beta 122.33
_cell_angle_gamma 86.01
_symmetry_space_group_name_H-M 'P 1'
_symmetry_Int_Tables_number 1
loop_
_symmetry_equiv_pos_as_xyz
'x,y,z'
loop_
_atom_site_label
_atom_site_fract_x
_atom_site_fract_y
_atom_site_fract_z
_atom_site_occupancy
Dy1 0.0000 0.0000 0.0000 1
Dy2 0.0057 0.5057 0.8041 1
Dy3 0.2016 0.0057 0.5000 1
Dy4 0.2984 0.7984 0.8041 1
Dy5 0.4943 0.2984 0.5000 1
Dy6 0.5000 0.5000 0.0000 1
Dy7 0.5057 0.7016 0.5000 1
Dy8 0.7016 0.2016 0.1959 1
Dy9 0.7984 0.9943 0.5000 1
Dy10 0.9943 0.4943 0.1959 1
Zn1 0.1410 0.3590 0.5000 1
Zn2 0.3590 0.8590 0.2179 1
Zn3 0.6410 0.1410 0.7821 1
Zn4 0.8590 0.6410 0.5000 1
Cd1 0.2500 0.2500 0.0000 1
Cd2 0.7500 0.7500 0.0000 1
```

The 8 most intense peaks (2θ from 5° to 70°), sorted by position:
| d (Å) | I (rel.) |
| --- | --- |
| 3.517 | 17 |
| 2.899 | 9 |
| 2.744 | 100 |
| 2.593 | 54 |
| 2.476 | 17 |
| 1.711 | 10 |
| 1.641 | 12 |
| 1.429 | 19 |


(3)
# Sr2Y2Sn2S
Computed powder X-ray diffraction pattern, Cu Kα. Input: DFT lattice parameters and positions (GGA-PBE).
Lines closer than 0.1° are merged.

Crystal structure
```
data_Sr2Y2Sn2S
_cell_length_a 9.3832
_cell_length_b 9.3832
_cell_length_c 9.3832
_cell_angle_alpha 148.04
_cell_angle_beta 148.04
_cell_angle_gamma 45.83
_symmetry_space_group_name_H-M 'P 1'
_symmetry_Int_Tables_number 1
loop_
_symmetry_equiv_pos_as_xyz
'x,y,z'
loop_
_atom_site_label
_atom_site_fract_x
_atom_site_fract_y
_atom_site_fract_z
_atom_site_occupancy
Sr1 0.1766 0.1766 0.0000 1
Sr2 0.8234 0.8234 0.0000 1
Y1 0.0000 0.5000 0.5000 1
Y2 0.5000 0.0000 0.5000 1
Sn1 0.3767 0.3767 0.0000 1
Sn2 0.6233 0.6233 0.0000 1
S1 0.0000 0.0000 0.0000 1
```

The 8 most intense peaks (2θ from 5° to 70°), sorted by position:
| d (Å) | I (rel.) |
| --- | --- |
| 3.653 | 38 |
| 3.365 | 53 |
| 2.875 | 86 |
| 2.790 | 100 |
| 2.583 | 85 |
| 1.922 | 64 |
| 1.827 | 30 |
| 1.528 | 33 |


Copy entry 3 word for word.
# Sr2Y2Sn2S
Computed powder X-ray diffraction pattern, Cu Kα. Input: DFT lattice parameters and positions (GGA-PBE).
Lines closer than 0.1° are merged.

Crystal structure
```
data_Sr2Y2Sn2S
_cell_length_a 9.3832
_cell_length_b 9.3832
_cell_length_c 9.3832
_cell_angle_alpha 148.04
_cell_angle_beta 148.04
_cell_angle_gamma 45.83
_symmetry_space_group_name_H-M 'P 1'
_symmetry_Int_Tables_number 1
loop_
_symmetry_equiv_pos_as_xyz
'x,y,z'
loop_
_atom_site_label
_atom_site_fract_x
_atom_site_fract_y
_atom_site_fract_z
_atom_site_occupancy
Sr1 0.1766 0.1766 0.0000 1
Sr2 0.8234 0.8234 0.0000 1
Y1 0.0000 0.5000 0.5000 1
Y2 0.5000 0.0000 0.5000 1
Sn1 0.3767 0.3767 0.0000 1
Sn2 0.6233 0.6233 0.0000 1
S1 0.0000 0.0000 0.0000 1
```

The 8 most intense peaks (2θ from 5° to 70°), sorted by position:
| d (Å) | I (rel.) |
| --- | --- |
| 3.653 | 38 |
| 3.365 | 53 |
| 2.875 | 86 |
| 2.790 | 100 |
| 2.583 | 85 |
| 1.922 | 64 |
| 1.827 | 30 |
| 1.528 | 33 |